The following is a calculated powder X-ray diffraction pattern of Y3ErSb2. It was derived from a DFT-relaxed cell (PBE, Alexandria), using copper Kα.
No peak broadening, texture or thermal motion is included.

Cell and atoms:
```
Y3ErSb2
1.0
4.4777 0.0000 0.0000
0.0000 4.4777 0.0000
0.0000 0.0000 8.4611
Y Er Sb
3 1 2
direct
0.0000 0.0000 0.0000 Y
0.0000 0.5000 0.6491 Y
0.5000 0.0000 0.3509 Y
0.5000 0.5000 0.0000 Er
0.0000 0.5000 0.2789 Sb
0.5000 0.0000 0.7211 Sb
```

Most intense lines, 2θ = 15–90°, by angle:
- 2θ = 30.14°, I = 88.9
- 2θ = 31.73°, I = 35.8
- 2θ = 35.41°, I = 100.0
- 2θ = 37.69°, I = 22.3
- 2θ = 40.28°, I = 55.9
- 2θ = 52.16°, I = 34.6
- 2θ = 58.28°, I = 27.7
- 2θ = 67.01°, I = 17.5
- 2θ = 67.90°, I = 15.4
- 2θ = 70.08°, I = 26.6

=====

The following is a calculated powder X-ray diffraction pattern of YEr4Sb5. It was derived from a DFT-relaxed cell (PBE, Alexandria), using copper Kα.
No peak broadening, texture or thermal motion is included.

Cell and atoms:
```
YEr4Sb5
1.0
-2.1806 3.0822 10.9023
2.1806 -3.0822 10.9023
2.1806 3.0822 -10.9023
Y Er Sb
1 4 5
direct
0.0000 0.0000 0.0000 Y
0.2005 0.2005 0.0000 Er
0.4000 0.4000 0.0000 Er
0.6000 0.6000 0.0000 Er
0.7995 0.7995 0.0000 Er
0.1010 0.6010 0.5000 Sb
0.3002 0.8002 0.5000 Sb
0.5000 0.0000 0.5000 Sb
0.6998 0.1998 0.5000 Sb
0.8990 0.3990 0.5000 Sb
```

Most intense lines, 2θ = 15–90°, by angle:
- 2θ = 18.88°, I = 0.6
- 2θ = 25.01°, I = 2.2
- 2θ = 28.96°, I = 100.0
- 2θ = 41.42°, I = 75.9
- 2θ = 48.99°, I = 1.2
- 2θ = 51.33°, I = 27.0
- 2θ = 60.01°, I = 12.6
- 2θ = 67.99°, I = 34.6
- 2θ = 75.53°, I = 25.6
- 2θ = 89.99°, I = 1.4

=====

The following is a calculated powder X-ray diffraction pattern of Er2ZnSb4. It was derived from a DFT-relaxed cell (PBE, Alexandria), using copper Kα.
No peak broadening, texture or thermal motion is included.

Cell and atoms:
```
Er2ZnSb4
1.0
4.3189 0.0000 0.0000
0.0000 4.3189 0.0000
0.0000 0.0000 9.8013
Er Zn Sb
2 1 4
direct
0.0000 0.5000 0.2462 Er
0.5000 0.0000 0.7538 Er
0.0000 0.0000 0.5000 Zn
0.0000 0.0000 0.0000 Sb
0.0000 0.5000 0.6627 Sb
0.5000 0.0000 0.3373 Sb
0.5000 0.5000 0.0000 Sb
```

Most intense lines, 2θ = 15–90°, by angle:
- 2θ = 27.30°, I = 12.4
- 2θ = 27.53°, I = 18.8
- 2θ = 30.66°, I = 20.3
- 2θ = 34.42°, I = 22.5
- 2θ = 34.61°, I = 100.0
- 2θ = 41.83°, I = 40.7
- 2θ = 51.17°, I = 17.8
- 2θ = 60.65°, I = 13.6
- 2θ = 68.16°, I = 15.0
- 2θ = 71.74°, I = 23.5

=====

The following is a calculated powder X-ray diffraction pattern of Er4ZrSb5. It was derived from a DFT-relaxed cell (PBE, Alexandria), using copper Kα.
No peak broadening, texture or thermal motion is included.

Cell and atoms:
```
Er4ZrSb5
1.0
-2.1528 2.1528 15.2190
2.1528 -2.1528 15.2190
2.1528 2.1528 -15.2190
Er Zr Sb
4 1 5
direct
0.0993 0.0993 0.0000 Er
0.3013 0.3013 0.0000 Er
0.6987 0.6987 0.0000 Er
0.9007 0.9007 0.0000 Er
0.5000 0.5000 0.0000 Zr
0.0000 0.0000 0.0000 Sb
0.2000 0.2000 0.0000 Sb
0.4026 0.4026 0.0000 Sb
0.5974 0.5974 0.0000 Sb
0.8000 0.8000 0.0000 Sb
```

Most intense lines, 2θ = 15–90°, by angle:
- 2θ = 20.84°, I = 0.7
- 2θ = 22.43°, I = 0.6
- 2θ = 25.34°, I = 2.3
- 2θ = 29.34°, I = 100.0
- 2θ = 41.97°, I = 75.4
- 2θ = 49.66°, I = 1.2
- 2θ = 52.03°, I = 26.9
- 2θ = 60.86°, I = 12.4
- 2θ = 68.98°, I = 34.0
- 2θ = 76.67°, I = 25.1

=====

The following is a calculated powder X-ray diffraction pattern of Er5ZrSb4. It was derived from a DFT-relaxed cell (PBE, Alexandria), using copper Kα.
No peak broadening, texture or thermal motion is included.

Cell and atoms:
```
Er5ZrSb4
1.0
9.1328 -2.1012 0.0000
9.1328 2.1012 0.0000
-2.2194 0.0000 7.8967
Er Zr Sb
5 1 4
direct
0.0000 0.0000 0.0000 Er
0.3200 0.3200 0.1476 Er
0.3354 0.3354 0.6892 Er
0.6646 0.6646 0.3108 Er
0.6800 0.6800 0.8524 Er
0.0000 0.0000 0.5000 Zr
0.1656 0.1656 0.5783 Sb
0.4919 0.4919 0.2492 Sb
0.5081 0.5081 0.7508 Sb
0.8344 0.8344 0.4217 Sb
```

Most intense lines, 2θ = 15–90°, by angle:
- 2θ = 26.09°, I = 9.5
- 2θ = 30.48°, I = 100.0
- 2θ = 42.87°, I = 25.8
- 2θ = 43.05°, I = 13.5
- 2θ = 44.22°, I = 11.4
- 2θ = 44.44°, I = 21.3
- 2θ = 53.67°, I = 13.1
- 2θ = 63.42°, I = 7.9
- 2θ = 70.88°, I = 10.9
- 2θ = 73.15°, I = 8.0

=====

The following is a calculated powder X-ray diffraction pattern of Er7Sc2. It was derived from a DFT-relaxed cell (PBE, Alexandria), using copper Kα.
No peak broadening, texture or thermal motion is included.

Cell and atoms:
```
Er7Sc2
1.0
5.9827 0.0000 0.0000
-2.9913 5.1812 0.0000
0.0000 0.0000 8.4528
Er Sc
7 2
direct
0.0000 0.0000 0.0000 Er
0.0000 0.3355 0.6717 Er
0.0000 0.6645 0.3283 Er
0.3355 0.0000 0.6717 Er
0.3355 0.3355 0.3283 Er
0.6645 0.0000 0.3283 Er
0.6645 0.6645 0.6717 Er
0.3333 0.6667 0.0000 Sc
0.6667 0.3333 0.0000 Sc
```

Most intense lines, 2θ = 15–90°, by angle:
- 2θ = 20.10°, I = 4.3
- 2θ = 21.02°, I = 3.7
- 2θ = 31.74°, I = 100.0
- 2θ = 36.81°, I = 49.7
- 2θ = 53.04°, I = 35.3
- 2θ = 63.15°, I = 40.5
- 2θ = 66.30°, I = 11.7
- 2θ = 78.32°, I = 5.8
- 2θ = 86.97°, I = 17.8
- 2θ = 89.82°, I = 16.0

=====

The following is a calculated powder X-ray diffraction pattern of Er7Sc2. It was derived from a DFT-relaxed cell (PBE, Alexandria), using copper Kα.
No peak broadening, texture or thermal motion is included.

Cell and atoms:
```
Er7Sc2
1.0
9.4080 0.0000 0.0000
-4.7040 8.1475 0.0000
0.0000 0.0000 3.4588
Er Sc
7 2
direct
0.0000 0.0000 0.0000 Er
0.0000 0.3077 0.5000 Er
0.0000 0.6330 0.0000 Er
0.3077 0.0000 0.5000 Er
0.3670 0.3670 0.0000 Er
0.6330 0.0000 0.0000 Er
0.6923 0.6923 0.5000 Er
0.3333 0.6667 0.5000 Sc
0.6667 0.3333 0.5000 Sc
```

Most intense lines, 2θ = 15–90°, by angle:
- 2θ = 18.87°, I = 12.9
- 2θ = 29.00°, I = 14.4
- 2θ = 32.12°, I = 100.0
- 2θ = 32.98°, I = 88.3
- 2θ = 34.00°, I = 22.4
- 2θ = 46.70°, I = 29.2
- 2θ = 55.91°, I = 18.3
- 2θ = 58.36°, I = 23.4
- 2θ = 58.90°, I = 11.7
- 2θ = 63.80°, I = 26.3

=====

The following is a calculated powder X-ray diffraction pattern of Er6Sc5. It was derived from a DFT-relaxed cell (PBE, Alexandria), using copper Kα.
No peak broadening, texture or thermal motion is included.

Cell and atoms:
```
Er6Sc5
1.0
4.8024 -6.2751 0.0000
4.8024 6.2751 0.0000
-2.3187 0.0000 5.1862
Er Sc
6 5
direct
0.0450 0.3338 0.6321 Er
0.1875 0.1875 0.1245 Er
0.3338 0.0450 0.6321 Er
0.6662 0.9550 0.3679 Er
0.8125 0.8125 0.8755 Er
0.9550 0.6662 0.3679 Er
0.2334 0.7666 0.0000 Sc
0.3729 0.6271 0.5000 Sc
0.5000 0.5000 0.0000 Sc
0.6271 0.3729 0.5000 Sc
0.7666 0.2334 0.0000 Sc
```

Most intense lines, 2θ = 15–90°, by angle:
- 2θ = 20.26°, I = 41.8
- 2θ = 26.65°, I = 100.0
- 2θ = 31.43°, I = 74.3
- 2θ = 31.66°, I = 42.3
- 2θ = 32.14°, I = 53.2
- 2θ = 32.55°, I = 36.7
- 2θ = 33.38°, I = 75.6
- 2θ = 35.63°, I = 88.5
- 2θ = 40.75°, I = 38.3
- 2θ = 56.79°, I = 28.9

=====

The following is a calculated powder X-ray diffraction pattern of Er6Sc. It was derived from a DFT-relaxed cell (PBE, Alexandria), using copper Kα.
No peak broadening, texture or thermal motion is included.

Cell and atoms:
```
Er6Sc
1.0
6.3151 0.0000 0.0000
0.0000 6.3151 0.0000
0.0000 0.0000 10.9438
Er Sc
12 2
direct
0.0809 0.5809 0.1374 Er
0.0809 0.9191 0.8626 Er
0.2500 0.2500 0.3621 Er
0.2500 0.2500 0.6379 Er
0.4191 0.5809 0.8626 Er
0.4191 0.9191 0.1374 Er
0.5809 0.0809 0.8626 Er
0.5809 0.4191 0.1374 Er
0.7500 0.7500 0.3621 Er
0.7500 0.7500 0.6379 Er
0.9191 0.0809 0.1374 Er
0.9191 0.4191 0.8626 Er
0.2500 0.7500 0.5000 Sc
0.7500 0.2500 0.5000 Sc
```

Most intense lines, 2θ = 15–90°, by angle:
- 2θ = 21.49°, I = 43.1
- 2θ = 29.44°, I = 64.6
- 2θ = 31.67°, I = 48.2
- 2θ = 32.74°, I = 100.0
- 2θ = 35.78°, I = 77.1
- 2θ = 37.68°, I = 40.7
- 2θ = 40.39°, I = 33.8
- 2θ = 52.93°, I = 32.8
- 2θ = 57.10°, I = 37.5
- 2θ = 63.02°, I = 34.3

=====

The following is a calculated powder X-ray diffraction pattern of Er3Sc13. It was derived from a DFT-relaxed cell (PBE, Alexandria), using copper Kα.
No peak broadening, texture or thermal motion is included.

Cell and atoms:
```
Er3Sc13
1.0
6.7348 0.0000 0.0000
0.0000 5.2328 5.8162
0.0000 -5.2328 5.8162
Er Sc
3 13
direct
0.0000 0.0000 0.0000 Er
0.2524 0.2555 0.2555 Er
0.7476 0.2555 0.2555 Er
0.0000 0.0820 0.5869 Sc
0.0000 0.5060 0.5060 Sc
0.0000 0.5869 0.0820 Sc
0.2510 0.7501 0.7501 Sc
0.2520 0.3391 0.8303 Sc
0.2520 0.8303 0.3391 Sc
0.5000 0.9995 0.9995 Sc
0.5000 0.0791 0.5934 Sc
0.5000 0.5060 0.5060 Sc
0.5000 0.5934 0.0791 Sc
0.7480 0.3391 0.8303 Sc
0.7480 0.8303 0.3391 Sc
0.7490 0.7501 0.7501 Sc
```

Most intense lines, 2θ = 15–90°, by angle:
- 2θ = 16.94°, I = 14.0
- 2θ = 28.89°, I = 9.9
- 2θ = 30.70°, I = 31.3
- 2θ = 34.27°, I = 23.2
- 2θ = 35.27°, I = 100.0
- 2θ = 46.67°, I = 19.6
- 2θ = 54.64°, I = 13.8
- 2θ = 62.02°, I = 17.9
- 2θ = 66.10°, I = 14.6
- 2θ = 66.63°, I = 9.4

=====

The following is a calculated powder X-ray diffraction pattern of Er2Sc3. It was derived from a DFT-relaxed cell (PBE, Alexandria), using copper Kα.
No peak broadening, texture or thermal motion is included.

Cell and atoms:
```
Er2Sc3
1.0
5.5933 -2.9540 0.0000
5.5933 2.9540 0.0000
-2.9697 0.0000 8.1487
Er Sc
4 6
direct
0.0728 0.7305 0.5505 Er
0.2695 0.9272 0.9495 Er
0.7305 0.0728 0.0505 Er
0.9272 0.2695 0.4495 Er
0.1269 0.4633 0.8494 Sc
0.3364 0.6636 0.2500 Sc
0.4633 0.1269 0.3494 Sc
0.5367 0.8731 0.6506 Sc
0.6636 0.3364 0.7500 Sc
0.8731 0.5367 0.1506 Sc
```

Most intense lines, 2θ = 15–90°, by angle:
- 2θ = 18.78°, I = 26.0
- 2θ = 21.83°, I = 14.5
- 2θ = 28.39°, I = 11.6
- 2θ = 30.20°, I = 24.3
- 2θ = 33.67°, I = 24.1
- 2θ = 34.68°, I = 100.0
- 2θ = 45.85°, I = 15.0
- 2θ = 53.69°, I = 12.3
- 2θ = 60.86°, I = 18.8
- 2θ = 64.89°, I = 13.7

=====

The following is a calculated powder X-ray diffraction pattern of Er3Sc5. It was derived from a DFT-relaxed cell (PBE, Alexandria), using copper Kα.
No peak broadening, texture or thermal motion is included.

Cell and atoms:
```
Er3Sc5
1.0
3.4224 0.0000 0.0000
0.0000 5.3184 0.0000
0.0000 0.0000 11.8016
Er Sc
3 5
direct
0.0000 0.0000 0.0000 Er
0.0000 0.5000 0.1770 Er
0.5000 0.0000 0.2680 Er
0.0000 0.0000 0.5162 Sc
0.0000 0.5000 0.6763 Sc
0.5000 0.0000 0.7521 Sc
0.5000 0.5000 0.4363 Sc
0.5000 0.5000 0.9155 Sc
```

Most intense lines, 2θ = 15–90°, by angle:
- 2θ = 28.22°, I = 15.5
- 2θ = 30.19°, I = 17.1
- 2θ = 32.01°, I = 13.4
- 2θ = 33.70°, I = 24.2
- 2θ = 34.71°, I = 100.0
- 2θ = 45.89°, I = 16.0
- 2θ = 53.75°, I = 11.4
- 2θ = 60.93°, I = 18.8
- 2θ = 64.96°, I = 12.7
- 2θ = 65.45°, I = 9.7

=====

The following is a calculated powder X-ray diffraction pattern of Er6Sc5. It was derived from a DFT-relaxed cell (PBE, Alexandria), using copper Kα.
No peak broadening, texture or thermal motion is included.

Cell and atoms:
```
Er6Sc5
1.0
-2.6220 3.9494 7.4652
2.6220 -3.9494 7.4652
2.6220 3.9494 -7.4652
Er Sc
6 5
direct
0.0675 0.8574 0.2101 Er
0.2106 0.5000 0.7106 Er
0.3527 0.1426 0.2101 Er
0.6473 0.8574 0.7899 Er
0.7894 0.5000 0.2894 Er
0.9325 0.1426 0.7899 Er
0.2033 0.7033 0.5000 Sc
0.3390 0.3390 0.0000 Sc
0.5000 0.0000 0.5000 Sc
0.6610 0.6610 0.0000 Sc
0.7967 0.2967 0.5000 Sc
```

Most intense lines, 2θ = 15–90°, by angle:
- 2θ = 22.51°, I = 27.1
- 2θ = 24.66°, I = 54.7
- 2θ = 31.53°, I = 15.4
- 2θ = 33.64°, I = 100.0
- 2θ = 34.20°, I = 34.3
- 2θ = 34.58°, I = 28.7
- 2θ = 36.10°, I = 15.8
- 2θ = 50.57°, I = 11.9
- 2θ = 60.88°, I = 22.2
- 2θ = 66.72°, I = 13.5

=====

The following is a calculated powder X-ray diffraction pattern of ErSc4Se5. It was derived from a DFT-relaxed cell (PBE, Alexandria), using copper Kα.
No peak broadening, texture or thermal motion is included.

Cell and atoms:
```
ErSc4Se5
1.0
1.9563 1.1295 15.9113
-1.9563 1.1295 15.9113
0.0000 -2.2589 15.9113
Er Sc Se
1 4 5
direct
0.0000 0.0000 0.0000 Er
0.1995 0.1995 0.1995 Sc
0.4019 0.4019 0.4019 Sc
0.5981 0.5981 0.5981 Sc
0.8005 0.8005 0.8005 Sc
0.1013 0.1013 0.1013 Se
0.2974 0.2974 0.2974 Se
0.5000 0.5000 0.5000 Se
0.7026 0.7026 0.7026 Se
0.8987 0.8987 0.8987 Se
```

Most intense lines, 2θ = 15–90°, by angle:
- 2θ = 32.40°, I = 100.0
- 2θ = 46.42°, I = 35.9
- 2θ = 46.54°, I = 34.4
- 2θ = 57.74°, I = 18.2
- 2θ = 57.96°, I = 5.6
- 2θ = 67.84°, I = 10.8
- 2θ = 77.11°, I = 15.3
- 2θ = 77.30°, I = 14.2
- 2θ = 86.15°, I = 17.3
- 2θ = 86.45°, I = 5.4